This entry pairs a crystal structure of Ac3TbAs4 with its theoretical XRD peak list. Radiation: Cu Kα, 1.54184 Å. Structure: a PBE-relaxed structure.
Intensities are scaled so that the largest is 100.

The 10 most intense peaks (5 to 70 degrees two-theta), in order of rising 2θ:
2θ (°), Rel. int.
24.47, 38.4
28.33, 100.0
40.49, 77.0
47.88, 20.9
50.16, 27.7
58.60, 13.0
64.44, 6.1
64.51, 3.0
66.34, 29.7
66.41, 6.0

```
16
Lattice="7.7140 0.0000 0.0000 0.0000 8.9207 0.0000 -2.5773 0.0000 7.2699" Properties=species:S:1:pos:R:3 pbc="T T T"
Ac -0.6443 1.0979 1.8175
Ac -1.9330 3.3156 5.4524
Ac -0.6443 5.6051 1.8175
Ac -1.9330 7.8228 5.4524
Ac 3.2127 3.3222 1.8175
Ac 1.9240 5.5985 5.4524
Tb 1.9240 1.0894 5.4524
Tb 3.2127 7.8313 1.8175
As 0.6667 3.2733 3.6972
As 1.9553 5.6473 0.0623
As -0.5240 1.0406 7.2610
As 0.7647 7.8801 3.6261
As 4.3720 1.0406 3.6439
As 5.6607 7.8801 0.0089
As 3.1814 3.2733 7.2076
As 4.4700 5.6473 3.5727
```


This entry pairs a crystal structure of CaZrOs with its theoretical XRD peak list. Radiation: Cu Kα, 1.54184 Å. Structure: a PBE-relaxed structure.
Intensities are scaled so that the largest is 100.

The 10 most intense peaks (5 to 70 degrees two-theta), in order of rising 2θ:
2θ (°), Rel. int.
8.10, 100.0
21.09, 8.5
32.84, 8.6
34.71, 7.2
36.68, 17.5
36.96, 4.3
40.35, 16.3
42.08, 6.3
42.90, 5.7
45.40, 9.4

```
6
Lattice="2.1471 -10.9092 0.0000 2.1471 10.9092 0.0000 0.0000 0.0000 3.2717" Properties=species:S:1:pos:R:3 pbc="T T T"
Ca 2.1471 6.8967 2.4538
Ca 2.1471 -6.8967 0.8179
Zr 2.1471 1.4843 2.4538
Zr 2.1471 -1.4843 0.8179
Os 2.1471 9.8731 2.4538
Os 2.1471 -9.8731 0.8179
```


This entry pairs a crystal structure of Mg2Se2O5 with its theoretical XRD peak list. Radiation: Cu Kα, 1.54184 Å. Structure: a PBE-relaxed structure.
Intensities are scaled so that the largest is 100.

The 10 most intense peaks (5 to 70 degrees two-theta), in order of rising 2θ:
2θ (°), Rel. int.
14.06, 100.0
22.54, 38.0
28.34, 31.0
29.86, 42.3
30.58, 49.8
30.77, 68.0
31.72, 57.6
32.99, 69.7
34.02, 56.7
35.19, 31.9

```
9
Lattice="3.3060 0.0000 0.0000 0.6667 5.6941 0.0000 0.0698 0.8633 6.2987" Properties=species:S:1:pos:R:3 pbc="T T T"
Mg 0.2597 1.5942 0.4399
Mg 3.7829 4.9632 5.8588
Se 1.4272 1.6590 3.6702
Se 2.6153 4.8984 2.6285
O 0.3003 2.0322 2.4296
O 0.4889 1.1486 5.0972
O 1.9864 2.8470 0.0000
O 3.5537 5.4087 1.2015
O 3.7423 4.5252 3.8691
```


This entry pairs a crystal structure of Ac4Pr3Tl5 with its theoretical XRD peak list. Radiation: Cu Kα, 1.54184 Å. Structure: a PBE-relaxed structure.
Intensities are scaled so that the largest is 100.

The 10 most intense peaks (5 to 70 degrees two-theta), in order of rising 2θ:
2θ (°), Rel. int.
25.23, 30.7
28.56, 43.5
29.20, 96.9
29.40, 94.3
29.67, 82.9
30.16, 100.0
30.64, 33.4
42.81, 62.2
43.53, 26.0
52.99, 25.2

```
12
Lattice="8.8955 -2.9633 0.0000 8.8955 2.9633 0.0000 -4.4343 0.0000 8.1960" Properties=species:S:1:pos:R:3 pbc="T T T"
Ac -0.3769 0.0000 3.2977
Ac -1.1407 0.0000 7.4700
Ac 14.4974 0.0000 0.7260
Ac 13.7337 0.0000 4.8983
Pr 3.3611 0.0000 3.0227
Pr 8.8955 0.0000 0.0000
Pr 9.9956 0.0000 5.1734
Tl 0.0000 0.0000 0.0000
Tl 2.0543 0.0000 6.0470
Tl 6.6413 0.0000 2.5009
Tl 6.7155 0.0000 5.6951
Tl 11.3025 0.0000 2.1490
```